Theoretical XRD peak list of MnSb2F12 for a wavelength of 1.5418 Å, from a structure optimized by DFT (PBE+U).
Peak positions follow from Bragg's law for the DFT cell and can differ from measured ones.

Crystal structure
```
data_MnSb2F12
_chemical_formula_sum 'Mn1 Sb2 F12'
_symmetry_space_group_name_H-M 'P 1'
_symmetry_Int_Tables_number 1
_symmetry_space_group_name_Hall 'P 1'
_cell_length_a 5.3887
_cell_length_b 5.4008
_cell_length_c 9.6195
_cell_angle_alpha 78.69
_cell_angle_beta 82.52
_cell_angle_gamma 60.28
loop_
_atom_site_label
_atom_site_type_symbol
_atom_site_fract_x
_atom_site_fract_y
_atom_site_fract_z
Mn1 Mn 0.0000 0.0000 0.0000
Sb1 Sb 0.3169 0.2538 0.2590
Sb2 Sb 0.6831 0.7462 0.7410
F1 F 0.0032 0.7456 0.6364
F2 F 0.0672 0.5978 0.1271
F3 F 0.2747 0.0404 0.1264
F4 F 0.3520 0.5025 0.3573
F5 F 0.3721 0.7503 0.8774
F6 F 0.4046 0.0954 0.6441
F7 F 0.5954 0.9046 0.3559
F8 F 0.6279 0.2497 0.1226
F9 F 0.6480 0.4975 0.6427
F10 F 0.7253 0.9596 0.8736
F11 F 0.9328 0.4022 0.8729
F12 F 0.9968 0.2544 0.3636
```

Main lines, by intensity (5° ≤ 2θ ≤ 70°):
- 2θ 21.5, I = 100
- 2θ 22.6, I = 99
- 2θ 24.4, I = 66
- 2θ 18.8, I = 58
- 2θ 20.0, I = 48
- 2θ 19.9, I = 43
- 2θ 19.4, I = 43
- 2θ 20.9, I = 32